Simulated PXRD pattern
Compound: RbF3
Radiation: Cu Kα (λ = 1.5418 Å)
Structure: a GGA-PBE-relaxed structure

Top 10 peaks for 5° ≤ 2θ ≤ 70°, by intensity:
2theta  Rel. int.
36.08  100.0
34.30  58.3
25.26  51.7
26.41  49.4
22.20  48.3
21.49  44.5
26.56  40.4
37.80  35.2
45.91  34.2
33.44  31.5

Cell and atoms:
```
data_RbF3
_chemical_formula_sum 'Rb4 F12'
_cell_length_a 4.546
_cell_length_b 6.750
_cell_length_c 9.950
_cell_angle_alpha 90.00
_cell_angle_beta 90.00
_cell_angle_gamma 90.00
_symmetry_space_group_name_H-M 'P 1'
_symmetry_Int_Tables_number 1
loop_
_symmetry_equiv_pos_as_xyz
'x,y,z'
loop_
_atom_site_label
_atom_site_fract_x
_atom_site_fract_y
_atom_site_fract_z
Rb1 0.077 0.029 0.367
Rb2 0.423 0.971 0.867
Rb3 0.577 0.471 0.633
Rb4 0.923 0.529 0.133
F1 0.001 0.615 0.439
F2 0.054 0.197 0.679
F3 0.225 0.539 0.879
F4 0.275 0.461 0.379
F5 0.446 0.803 0.179
F6 0.499 0.385 0.939
F7 0.501 0.885 0.561
F8 0.554 0.303 0.321
F9 0.725 0.961 0.121
F10 0.775 0.039 0.621
F11 0.946 0.697 0.821
F12 0.999 0.115 0.061
```

Simulated PXRD pattern
Compound: MgRh2O4
Radiation: Cu Kα (λ = 1.5418 Å)
Structure: a GGA-PBE-relaxed structure

Top 10 peaks for 5° ≤ 2θ ≤ 70°, by intensity:
2theta  Rel. int.
17.73  100.0
34.33  95.0
41.71  56.4
60.45  49.7
35.91  40.6
55.09  36.0
63.54  17.8
45.65  17.4
29.16  3.6
51.69  1.2

Cell and atoms:
```
data_MgRh2O4
_chemical_formula_sum 'Mg2 Rh4 O8'
_cell_length_a 6.125
_cell_length_b 6.125
_cell_length_c 6.125
_cell_angle_alpha 60.00
_cell_angle_beta 60.00
_cell_angle_gamma 60.00
_symmetry_space_group_name_H-M 'P 1'
_symmetry_Int_Tables_number 1
loop_
_symmetry_equiv_pos_as_xyz
'x,y,z'
loop_
_atom_site_label
_atom_site_fract_x
_atom_site_fract_y
_atom_site_fract_z
Mg1 0.125 0.125 0.125
Mg2 0.875 0.875 0.875
Rh1 0.000 0.500 0.500
Rh2 0.500 0.000 0.500
Rh3 0.500 0.500 0.000
Rh4 0.500 0.500 0.500
O1 0.260 0.260 0.260
O2 0.260 0.260 0.720
O3 0.260 0.720 0.260
O4 0.280 0.740 0.740
O5 0.720 0.260 0.260
O6 0.740 0.280 0.740
O7 0.740 0.740 0.280
O8 0.740 0.740 0.740
```

Simulated PXRD pattern
Compound: TiP2O8
Radiation: Cu Kα (λ = 1.5418 Å)
Structure: a GGA-PBE-relaxed structure

Top 10 peaks for 5° ≤ 2θ ≤ 70°, by intensity:
2theta  Rel. int.
6.99  100.0
15.59  33.7
23.97  17.4
20.44  11.6
25.09  7.7
28.03  7.3
28.93  6.6
19.62  5.1
33.89  3.8
28.80  3.7

Cell and atoms:
```
data_TiP2O8
_chemical_formula_sum 'Ti2 P4 O16'
_cell_length_a 5.216
_cell_length_b 6.366
_cell_length_c 12.803
_cell_angle_alpha 90.00
_cell_angle_beta 99.17
_cell_angle_gamma 90.00
_symmetry_space_group_name_H-M 'P 1'
_symmetry_Int_Tables_number 1
loop_
_symmetry_equiv_pos_as_xyz
'x,y,z'
loop_
_atom_site_label
_atom_site_fract_x
_atom_site_fract_y
_atom_site_fract_z
Ti1 0.228 0.250 0.379
Ti2 0.772 0.750 0.621
P1 0.199 0.750 0.447
P2 0.356 0.750 0.800
P3 0.644 0.250 0.200
P4 0.801 0.250 0.553
O1 0.050 0.250 0.504
O2 0.112 0.750 0.716
O3 0.210 0.554 0.377
O4 0.210 0.946 0.377
O5 0.359 0.564 0.878
O6 0.359 0.936 0.878
O7 0.398 0.250 0.252
O8 0.440 0.750 0.535
O9 0.560 0.250 0.465
O10 0.602 0.750 0.748
O11 0.641 0.064 0.122
O12 0.641 0.436 0.122
O13 0.790 0.054 0.623
O14 0.790 0.446 0.623
O15 0.888 0.250 0.284
O16 0.950 0.750 0.496
```

Simulated PXRD pattern
Compound: PrMg16Al12
Radiation: Cu Kα (λ = 1.5418 Å)
Structure: a GGA-PBE-relaxed structure

Top 10 peaks for 5° ≤ 2θ ≤ 70°, by intensity:
2theta  Rel. int.
35.97  100.0
11.81  33.9
64.65  27.5
39.92  20.8
31.60  20.2
20.54  16.8
41.77  15.7
61.94  14.3
26.61  10.8
46.98  8.6

Cell and atoms:
```
data_PrMg16Al12
_chemical_formula_sum 'Pr1 Mg16 Al12'
_cell_length_a 9.175
_cell_length_b 9.175
_cell_length_c 9.175
_cell_angle_alpha 109.47
_cell_angle_beta 109.47
_cell_angle_gamma 109.47
_symmetry_space_group_name_H-M 'P 1'
_symmetry_Int_Tables_number 1
loop_
_symmetry_equiv_pos_as_xyz
'x,y,z'
loop_
_atom_site_label
_atom_site_fract_x
_atom_site_fract_y
_atom_site_fract_z
Pr1 0.000 0.000 0.000
Mg1 0.000 0.000 0.638
Mg2 0.000 0.398 0.681
Mg3 0.000 0.638 0.000
Mg4 0.000 0.681 0.398
Mg5 0.283 0.602 0.602
Mg6 0.319 0.319 0.717
Mg7 0.319 0.717 0.319
Mg8 0.362 0.362 0.362
Mg9 0.398 0.000 0.681
Mg10 0.398 0.681 0.000
Mg11 0.602 0.283 0.602
Mg12 0.602 0.602 0.283
Mg13 0.638 0.000 0.000
Mg14 0.681 0.000 0.398
Mg15 0.681 0.398 0.000
Mg16 0.717 0.319 0.319
Al1 0.000 0.187 0.372
Al2 0.000 0.372 0.187
Al3 0.184 0.813 0.813
Al4 0.187 0.000 0.372
Al5 0.187 0.372 0.000
Al6 0.372 0.000 0.187
Al7 0.372 0.187 0.000
Al8 0.628 0.628 0.816
Al9 0.628 0.816 0.628
Al10 0.813 0.184 0.813
Al11 0.813 0.813 0.184
Al12 0.816 0.628 0.628
```

Simulated PXRD pattern
Compound: CrFe2N3
Radiation: Cu Kα (λ = 1.5418 Å)
Structure: a GGA-PBE-relaxed structure

Top 10 peaks for 5° ≤ 2θ ≤ 70°, by intensity:
2theta  Rel. int.
39.05  100.0
36.75  52.4
34.99  37.0
34.29  33.7
39.68  30.1
67.72  24.8
62.30  21.8
51.65  17.4
56.77  10.1
51.14  10.0

Cell and atoms:
```
data_CrFe2N3
_chemical_formula_sum 'Cr2 Fe4 N6'
_cell_length_a 5.232
_cell_length_b 5.232
_cell_length_c 4.891
_cell_angle_alpha 90.00
_cell_angle_beta 90.00
_cell_angle_gamma 58.70
_symmetry_space_group_name_H-M 'P 1'
_symmetry_Int_Tables_number 1
loop_
_symmetry_equiv_pos_as_xyz
'x,y,z'
loop_
_atom_site_label
_atom_site_fract_x
_atom_site_fract_y
_atom_site_fract_z
Cr1 0.170 0.830 0.500
Cr2 0.830 0.170 0.000
Fe1 0.118 0.504 0.949
Fe2 0.496 0.882 0.949
Fe3 0.504 0.118 0.449
Fe4 0.882 0.496 0.449
N1 0.171 0.829 0.878
N2 0.210 0.495 0.319
N3 0.495 0.210 0.819
N4 0.505 0.790 0.319
N5 0.790 0.505 0.819
N6 0.829 0.171 0.378
```

Simulated PXRD pattern
Compound: Hf2Te
Radiation: Cu Kα (λ = 1.5418 Å)
Structure: a GGA-PBE-relaxed structure

Top 10 peaks for 5° ≤ 2θ ≤ 70°, by intensity:
2theta  Rel. int.
34.58  100.0
8.73  17.7
35.45  16.8
35.34  16.6
48.46  14.4
61.43  13.8
36.44  13.1
40.00  13.1
37.48  11.8
30.19  10.3

Cell and atoms:
```
data_Hf2Te
_chemical_formula_sum 'Hf8 Te4'
_cell_length_a 7.847
_cell_length_b 7.847
_cell_length_c 10.128
_cell_angle_alpha 90.24
_cell_angle_beta 90.24
_cell_angle_gamma 27.70
_symmetry_space_group_name_H-M 'P 1'
_symmetry_Int_Tables_number 1
loop_
_symmetry_equiv_pos_as_xyz
'x,y,z'
loop_
_atom_site_label
_atom_site_fract_x
_atom_site_fract_y
_atom_site_fract_z
Hf1 0.086 0.086 0.419
Hf2 0.218 0.218 0.127
Hf3 0.255 0.255 0.618
Hf4 0.407 0.407 0.348
Hf5 0.593 0.593 0.652
Hf6 0.745 0.745 0.382
Hf7 0.782 0.782 0.873
Hf8 0.914 0.914 0.581
Te1 0.135 0.135 0.867
Te2 0.421 0.421 0.805
Te3 0.579 0.579 0.195
Te4 0.865 0.865 0.133
```